[1]
This entry pairs a crystal structure of Ba8TlPb2 with its theoretical PXRD pattern. Radiation: Cu Ka. Structure: a crystal structure in Alexandria, relaxed with GGA-PBE.

Principal peaks in the range 2θ from 10° to 80°, most intense first:
(hkl)  d [Å]  I (rel.)
1 2 3  3.171  100
1 1 4  3.278  30
2 0 0  2.948  29
3 2 3  1.742  19
0 0 6  2.862  15
0 3 1  3.265  13
2 0 6  2.054  12
2 3 7  1.641  12
0 4 0  2.495  11
0 3 7  1.975  11

```
data_Ba8TlPb2
_cell_length_a 5.895
_cell_length_b 9.981
_cell_length_c 17.175
_cell_angle_alpha 90.00
_cell_angle_beta 90.00
_cell_angle_gamma 90.00
_symmetry_space_group_name_H-M 'I m m m'
_symmetry_Int_Tables_number 71
_symmetry_space_group_name_Hall '-I 2 2'
loop_
_atom_site_label
_atom_site_type_symbol
_atom_site_fract_x
_atom_site_fract_y
_atom_site_fract_z
Ba1 Ba 0.000 0.000 0.138
Ba2 Ba 0.000 0.222 0.345
Ba3 Ba 0.000 0.329 0.000
Tl1 Tl 0.000 0.500 0.500
Pb1 Pb 0.000 0.500 0.196
```


[2]
This entry pairs a crystal structure of Tb3TmPt3 with its theoretical PXRD pattern. Radiation: Cu Ka. Structure: a crystal structure in Alexandria, relaxed with GGA-PBE.

Principal peaks in the range 2θ from 10° to 80°, most intense first:
(hkl)  d [Å]  I (rel.)
2 2 -2  2.498  100
0 4 0  2.615  58
2 0 2  2.777  41
0 2 4  1.683  34
1 3 2  2.392  33
1 1 0  6.900  31
1 3 1  2.953  29
3 1 -1  2.737  28
2 2 2  2.453  26
4 0 0  2.295  26

```
data_Tb3TmPt3
_cell_length_a 9.183
_cell_length_b 10.461
_cell_length_c 7.108
_cell_angle_alpha 90.00
_cell_angle_beta 91.40
_cell_angle_gamma 90.00
_symmetry_space_group_name_H-M 'C 1 2/m 1'
_symmetry_Int_Tables_number 12
_symmetry_space_group_name_Hall '-C 2y'
loop_
_atom_site_label
_atom_site_type_symbol
_atom_site_fract_x
_atom_site_fract_y
_atom_site_fract_z
Tb1 Tb 0.000 0.176 0.000
Tb2 Tb 0.000 0.250 0.500
Tb3 Tb 0.164 0.500 0.878
Tm1 Tm 0.243 0.500 0.383
Pt1 Pt 0.060 0.000 0.308
Pt2 Pt 0.241 0.264 0.217
```


[3]
This entry pairs a crystal structure of Ta4Ge with its theoretical PXRD pattern. Radiation: Cu Ka. Structure: a crystal structure in Alexandria, relaxed with GGA-PBE.

Principal peaks in the range 2θ from 10° to 80°, most intense first:
(hkl)  d [Å]  I (rel.)
1 1 4  2.344  100
1 2 1  2.471  79
2 1 3  2.115  46
2 0 0  2.828  42
3 1 2  1.708  19
3 2 1  1.554  19
2 3 5  1.299  17
1 0 5  2.142  16
1 3 6  1.311  15
4 0 2  1.374  14

```
data_Ta4Ge
_cell_length_a 5.656
_cell_length_b 5.656
_cell_length_c 11.573
_cell_angle_alpha 90.00
_cell_angle_beta 90.00
_cell_angle_gamma 90.00
_symmetry_space_group_name_H-M 'I 41/a'
_symmetry_Int_Tables_number 88
loop_
_symmetry_equiv_pos_as_xyz
'x,y,z'
'-x,-y,-z'
'-y+3/4,x+1/4,z+1/4'
'y+3/4,-x+1/4,-z+1/4'
'-x+1/2,-y,z+1/2'
'x+1/2,y,-z+1/2'
'y+3/4,-x+3/4,z+3/4'
'-y+3/4,x+3/4,-z+3/4'
'x+1/2,y+1/2,z+1/2'
'-x+1/2,-y+1/2,-z+1/2'
'-y+1/4,x+3/4,z+3/4'
'y+1/4,-x+3/4,-z+3/4'
'-x,-y+1/2,z'
'x,y+1/2,-z'
'y+1/4,-x+1/4,z+1/4'
'-y+1/4,x+1/4,-z+1/4'
loop_
_atom_site_label
_atom_site_type_symbol
_atom_site_fract_x
_atom_site_fract_y
_atom_site_fract_z
Ta1 Ta 0.153 0.014 0.198
Ge1 Ge 0.000 0.250 0.625
```


[4]
This entry pairs a crystal structure of Tb4CeSe5 with its theoretical PXRD pattern. Radiation: Cu Ka. Structure: a crystal structure in Alexandria, relaxed with GGA-PBE.

Principal peaks in the range 2θ from 10° to 80°, most intense first:
(hkl)  d [Å]  I (rel.)
1 1 0  2.911  100
2 0 0  2.058  74
3 1 0  1.302  33
2 0 10  1.680  26
1 0 5  3.361  19
2 2 0  1.455  12
2 1 5  1.755  9
3 0 5  1.335  4

```
data_Tb4CeSe5
_cell_length_a 4.118
_cell_length_b 4.118
_cell_length_c 29.087
_cell_angle_alpha 90.00
_cell_angle_beta 90.00
_cell_angle_gamma 90.00
_symmetry_space_group_name_H-M 'I 4/m m m'
_symmetry_Int_Tables_number 139
_symmetry_space_group_name_Hall '-I 4 2'
loop_
_atom_site_label
_atom_site_type_symbol
_atom_site_fract_x
_atom_site_fract_y
_atom_site_fract_z
Tb1 Tb 0.000 0.000 0.100
Tb2 Tb 0.000 0.000 0.301
Ce1 Ce 0.000 0.000 0.500
Se1 Se 0.000 0.000 0.000
Se2 Se 0.000 0.000 0.201
Se3 Se 0.000 0.000 0.399
```